Calculated XRD peak list
Compound: Tb2H8Rh
Radiation: Cu Kα (weighted mean of Kα1 and Kα2)
Structure: the PBE geometry in Alexandria
Lines closer than 0.1° are merged.

```
Tb2H8Rh
1.0
6.5954 -1.8251 0.0000
6.5954 1.8251 0.0000
-1.3547 0.0000 4.0176
Tb H Rh
2 8 1
Direct
0.1473 0.1473 0.1466
0.8527 0.8527 0.8534
0.9998 0.9998 0.2805
0.0002 0.0002 0.7195
0.2362 0.2362 0.7364
0.3894 0.3894 0.6235
0.3899 0.3899 0.1538
0.6101 0.6101 0.8462
0.6106 0.6106 0.3765
0.7638 0.7638 0.2636
0.5000 0.5000 0.5000
```

Main lines, low angle first (10 to 80 degrees two-theta):
- 2θ 30.1, rel. 100
- 2θ 32.4, rel. 90
- 2θ 32.6, rel. 79
- 2θ 42.6, rel. 21
- 2θ 43.4, rel. 13
- 2θ 43.7, rel. 12
- 2θ 50.0, rel. 14
- 2θ 54.7, rel. 38
- 2θ 55.2, rel. 26
- 2θ 59.4, rel. 29